Entry 1:
This entry pairs a crystal structure of CaMnTl2 with its computed powder diffractogram. Radiation: CuKα. Structure: a DFT-relaxed cell (PBE, Alexandria).
No peak broadening, texture or thermal motion is included.

Structure:
a = 3.575 Å, b = 3.579 Å, c = 7.625 Å
α = 90.00°, β = 90.09°, γ = 90.00°
Positions (direct):
Ca (0.000, 0.000, 0.000)
Mn (0.000, 0.000, 0.500)
Tl (0.499, 0.500, 0.716)
Tl (0.501, 0.500, 0.284)

Top 8 peaks for 5 to 70 degrees two-theta, in order of falling intensity:
Position (°2θ)	d (Å)	intensity
34.38	2.609	1000
35.49	2.529	531
24.89	3.577	468
63.02	1.475	343
23.33	3.813	212
51.07	1.788	188
42.91	2.108	184
43.69	2.072	152

Entry 2:
This entry pairs a crystal structure of CaMnTl2 with its computed powder diffractogram. Radiation: CuKα. Structure: a DFT-relaxed cell (PBE, Alexandria).
No peak broadening, texture or thermal motion is included.

Structure:
a = 3.549 Å, b = 5.103 Å, c = 5.852 Å
α = 90.00°, β = 90.43°, γ = 90.00°
Positions (direct):
Ca (0.000, 0.000, 0.000)
Mn (0.508, 0.500, 0.267)
Tl (0.494, 0.500, 0.784)
Tl (0.501, 0.000, 0.477)

Top 8 peaks for 5 to 70 degrees two-theta, in order of falling intensity:
Position (°2θ)	d (Å)	intensity
35.37	2.538	1000
25.09	3.549	917
23.13	3.846	829
43.70	2.071	802
35.18	2.551	564
34.30	2.614	532
34.47	2.602	477
15.14	5.851	431

Entry 3:
This entry pairs a crystal structure of Ca3MnW with its computed powder diffractogram. Radiation: CuKα. Structure: a DFT-relaxed cell (PBE, Alexandria).
No peak broadening, texture or thermal motion is included.

Structure:
a = 5.568 Å, b = 5.568 Å, c = 5.568 Å
α = 90.00°, β = 90.00°, γ = 90.00°
Positions (direct):
Ca (0.000, 0.000, 0.500)
Ca (0.000, 0.500, 0.000)
Ca (0.500, 0.000, 0.000)
Mn (0.500, 0.500, 0.500)
W (0.000, 0.000, 0.000)

Top 8 peaks for 5 to 70 degrees two-theta, in order of falling intensity:
Position (°2θ)	d (Å)	intensity
22.58	3.937	1000
15.92	5.568	827
32.15	2.784	729
46.11	1.969	517
39.65	2.273	471
36.07	2.490	447
62.41	1.488	251
49.09	1.856	237

Entry 4:
This entry pairs a crystal structure of CaYMn with its computed powder diffractogram. Radiation: CuKα. Structure: a DFT-relaxed cell (PBE, Alexandria).
No peak broadening, texture or thermal motion is included.

Structure:
a = 7.013 Å, b = 7.013 Å, c = 7.013 Å
α = 150.26°, β = 150.26°, γ = 42.55°
Positions (direct):
Ca (0.000, 0.000, 0.000)
Y (0.275, 0.275, 0.000)
Mn (0.651, 0.651, 0.000)

Top 8 peaks for 5 to 70 degrees two-theta, in order of falling intensity:
Position (°2θ)	d (Å)	intensity
32.27	2.774	1000
35.27	2.545	491
13.55	6.535	316
61.42	1.510	282
42.76	2.115	234
50.74	1.799	164
55.50	1.656	148
25.68	3.470	123

Entry 5:
This entry pairs a crystal structure of CaZrMn with its computed powder diffractogram. Radiation: CuKα. Structure: a DFT-relaxed cell (PBE, Alexandria).
No peak broadening, texture or thermal motion is included.

Structure:
a = 6.288 Å, b = 6.288 Å, c = 6.288 Å
α = 147.80°, β = 147.80°, γ = 46.18°
Positions (direct):
Ca (0.000, 0.000, 0.000)
Zr (0.278, 0.278, 0.000)
Mn (0.687, 0.687, 0.000)

Top 8 peaks for 5 to 70 degrees two-theta, in order of falling intensity:
Position (°2θ)	d (Å)	intensity
34.68	2.587	1000
36.43	2.466	680
15.32	5.785	583
64.44	1.446	310
62.15	1.493	303
47.14	1.928	244
52.48	1.744	224
39.73	2.268	211

Entry 6:
This entry pairs a crystal structure of CaMoN3 with its computed powder diffractogram. Radiation: CuKα. Structure: a DFT-relaxed cell (PBE, Alexandria).
No peak broadening, texture or thermal motion is included.

Structure:
a = 3.648 Å, b = 5.300 Å, c = 7.141 Å
α = 90.66°, β = 90.15°, γ = 90.75°
Positions (direct):
Ca (0.000, 0.000, 0.000)
Ca (0.009, 0.004, 0.543)
Mo (0.495, 0.462, 0.768)
Mo (0.537, 0.506, 0.272)
N (0.008, 0.336, 0.777)
N (0.025, 0.668, 0.278)
N (0.297, 0.851, 0.269)
N (0.494, 0.802, 0.770)
N (0.519, 0.319, 0.054)
N (0.526, 0.322, 0.496)

Top 8 peaks for 5 to 70 degrees two-theta, in order of falling intensity:
Position (°2θ)	d (Å)	intensity
29.96	2.982	1000
29.55	3.023	456
30.35	2.945	448
16.73	5.300	410
33.83	2.650	266
50.04	1.823	251
35.12	2.555	250
49.56	1.839	244

Entry 7:
This entry pairs a crystal structure of CaMoN3 with its computed powder diffractogram. Radiation: CuKα. Structure: a DFT-relaxed cell (PBE, Alexandria).
No peak broadening, texture or thermal motion is included.

Structure:
a = 5.085 Å, b = 3.461 Å, c = 8.250 Å
α = 90.00°, β = 90.71°, γ = 90.00°
Positions (direct):
Ca (0.000, 0.000, 0.000)
Ca (0.012, 0.000, 0.493)
Mo (0.516, 0.500, 0.721)
Mo (0.592, 0.500, 0.273)
N (0.321, 0.000, 0.732)
N (0.407, 0.000, 0.320)
N (0.412, 0.000, 0.149)
N (0.689, 0.500, 0.523)
N (0.781, 0.500, 0.860)
N (0.928, 0.500, 0.231)

Top 8 peaks for 5 to 70 degrees two-theta, in order of falling intensity:
Position (°2θ)	d (Å)	intensity
31.27	2.861	1000
27.68	3.223	839
33.81	2.651	736
28.02	3.184	563
17.44	5.084	553
21.54	4.125	333
49.48	1.842	306
35.31	2.542	264

Entry 8:
This entry pairs a crystal structure of Ca3Pa3MoN8 with its computed powder diffractogram. Radiation: CuKα. Structure: a DFT-relaxed cell (PBE, Alexandria).
No peak broadening, texture or thermal motion is included.

Structure:
a = 6.923 Å, b = 6.923 Å, c = 6.923 Å
α = 59.58°, β = 59.58°, γ = 59.58°
Positions (direct):
Ca (0.000, 0.500, 0.500)
Ca (0.500, 0.000, 0.500)
Ca (0.500, 0.500, 0.000)
Pa (0.000, 0.000, 0.500)
Pa (0.000, 0.500, 0.000)
Pa (0.500, 0.000, 0.000)
Mo (0.500, 0.500, 0.500)
N (0.243, 0.243, 0.243)
N (0.245, 0.725, 0.725)
N (0.275, 0.275, 0.755)
N (0.275, 0.755, 0.275)
N (0.725, 0.245, 0.725)
N (0.725, 0.725, 0.245)
N (0.755, 0.275, 0.275)
N (0.757, 0.757, 0.757)

Top 8 peaks for 5 to 70 degrees two-theta, in order of falling intensity:
Position (°2θ)	d (Å)	intensity
15.63	5.671	1000
36.84	2.440	817
31.83	2.812	759
30.46	2.935	566
53.26	1.720	278
31.55	2.835	270
52.90	1.731	269
55.86	1.646	238